[1]
# Tm5In4Pt2
Simulated powder diffraction line list, λ = 1.5418 Å (Cu Kα). Input: a cell relaxed with PBE.

Atomic structure:
a = 8.1115 Å, b = 18.1146 Å, c = 3.5674 Å
α = 90.00°, β = 90.00°, γ = 90.00°
Atoms (fractional coordinates):
1 Tm 0.0000 0.0000 0.0000
2 Tm 0.1172 0.4146 0.0000
3 Tm 0.2433 0.2203 0.0000
4 Tm 0.2567 0.7203 0.0000
5 Tm 0.3828 0.9146 0.0000
6 Tm 0.5000 0.5000 0.0000
7 Tm 0.6172 0.0854 0.0000
8 Tm 0.7433 0.2797 0.0000
9 Tm 0.7567 0.7797 0.0000
10 Tm 0.8828 0.5854 0.0000
11 In 0.0760 0.8512 0.5000
12 In 0.2081 0.5662 0.5000
13 In 0.2919 0.0662 0.5000
14 In 0.4240 0.3512 0.5000
15 In 0.5760 0.6488 0.5000
16 In 0.7081 0.9338 0.5000
17 In 0.7919 0.4338 0.5000
18 In 0.9240 0.1488 0.5000
19 Pt 0.0252 0.3033 0.5000
20 Pt 0.4748 0.8033 0.5000
21 Pt 0.5252 0.1967 0.5000
22 Pt 0.9748 0.6967 0.5000

Top 8 peaks for 2θ = 5–70°, sorted by position:
33.5 deg, I = 20.7
33.8 deg, I = 78.9
34.6 deg, I = 36.8
34.9 deg, I = 100.0
36.4 deg, I = 50.2
36.7 deg, I = 28.8
37.1 deg, I = 76.2
51.2 deg, I = 26.3

---

[2]
# LiSiBiO4
Simulated powder diffraction line list, λ = 1.5418 Å (Cu Kα). Input: a cell relaxed with PBE.

Atomic structure:
a = 10.4714 Å, b = 7.2540 Å, c = 5.5046 Å
α = 90.00°, β = 90.00°, γ = 90.00°
Atoms (fractional coordinates):
1 Li 0.1571 0.0080 0.0000
2 Li 0.3429 0.5080 0.5000
3 Li 0.6571 0.4920 0.0000
4 Li 0.8429 0.9920 0.5000
5 Si 0.0903 0.7609 0.5025
6 Si 0.4097 0.2609 0.0025
7 Si 0.5903 0.7391 0.5025
8 Si 0.9097 0.2391 0.0025
9 Bi 0.1583 0.5191 0.0015
10 Bi 0.3417 0.0191 0.5015
11 Bi 0.6583 0.9809 0.0015
12 Bi 0.8417 0.4809 0.5015
13 O 0.0640 0.2433 0.9449
14 O 0.1247 0.7943 0.7897
15 O 0.1512 0.5577 0.4246
16 O 0.1588 0.9271 0.3429
17 O 0.3412 0.4271 0.8429
18 O 0.3488 0.0577 0.9246
19 O 0.3753 0.2943 0.2897
20 O 0.4360 0.7433 0.4449
21 O 0.5640 0.2567 0.9449
22 O 0.6247 0.7057 0.7897
23 O 0.6512 0.9423 0.4246
24 O 0.6588 0.5729 0.3429
25 O 0.8412 0.0729 0.8429
26 O 0.8488 0.4423 0.9246
27 O 0.8753 0.2057 0.2897
28 O 0.9360 0.7567 0.4449

Top 8 peaks for 2θ = 5–70°, sorted by position:
14.9 deg, I = 48.7
22.0 deg, I = 100.0
23.4 deg, I = 40.7
24.5 deg, I = 20.3
28.4 deg, I = 38.6
32.5 deg, I = 21.9
34.2 deg, I = 57.1
43.7 deg, I = 29.9

---

[3]
# Ba7Al13
Simulated powder diffraction line list, λ = 1.5418 Å (Cu Kα). Input: a cell relaxed with PBE.

Atomic structure:
a = 6.0617 Å, b = 6.0617 Å, c = 17.2800 Å
α = 90.00°, β = 90.00°, γ = 120.00°
Atoms (fractional coordinates):
1 Ba 0.0000 0.0000 0.0000
2 Ba 0.0000 0.0000 0.3931
3 Ba 0.0000 0.0000 0.6069
4 Ba 0.3333 0.6667 0.6784
5 Ba 0.3333 0.6667 0.8920
6 Ba 0.6667 0.3333 0.1080
7 Ba 0.6667 0.3333 0.3216
8 Al 0.0000 0.5000 0.5000
9 Al 0.1608 0.3216 0.2158
10 Al 0.1608 0.8392 0.2158
11 Al 0.3216 0.1608 0.7842
12 Al 0.3333 0.6667 0.0981
13 Al 0.3333 0.6667 0.3476
14 Al 0.5000 0.0000 0.5000
15 Al 0.5000 0.5000 0.5000
16 Al 0.6667 0.3333 0.6524
17 Al 0.6667 0.3333 0.9019
18 Al 0.6784 0.8392 0.2158
19 Al 0.8392 0.1608 0.7842
20 Al 0.8392 0.6784 0.7842

Top 8 peaks for 2θ = 5–70°, sorted by position:
17.7 deg, I = 46.8
26.7 deg, I = 25.0
29.5 deg, I = 96.9
31.0 deg, I = 100.0
33.4 deg, I = 35.5
34.6 deg, I = 31.9
36.2 deg, I = 37.4
53.2 deg, I = 40.6

---

[4]
# Mg14AlB
Simulated powder diffraction line list, λ = 1.5418 Å (Cu Kα). Input: a cell relaxed with PBE.

Atomic structure:
a = 6.2372 Å, b = 6.2372 Å, c = 10.1724 Å
α = 90.00°, β = 90.00°, γ = 120.00°
Atoms (fractional coordinates):
1 Mg 0.0000 0.0000 0.2488
2 Mg 0.0000 0.0000 0.7512
3 Mg 0.0101 0.5050 0.2559
4 Mg 0.0101 0.5050 0.7441
5 Mg 0.3314 0.1657 0.5000
6 Mg 0.3347 0.1673 0.0000
7 Mg 0.4950 0.5050 0.2559
8 Mg 0.4950 0.5050 0.7441
9 Mg 0.4950 0.9899 0.2559
10 Mg 0.4950 0.9899 0.7441
11 Mg 0.8327 0.1673 0.0000
12 Mg 0.8327 0.6653 0.0000
13 Mg 0.8343 0.1657 0.5000
14 Mg 0.8343 0.6686 0.5000
15 Al 0.3333 0.6667 0.0000
16 B 0.3333 0.6667 0.5000

Top 8 peaks for 2θ = 5–70°, sorted by position:
18.6 deg, I = 1.5
33.2 deg, I = 24.1
35.3 deg, I = 26.8
37.7 deg, I = 100.0
49.2 deg, I = 15.0
59.3 deg, I = 16.7
64.9 deg, I = 18.6
69.6 deg, I = 2.5

---

[5]
# Na3HfInSi2SO12
Simulated powder diffraction line list, λ = 1.5418 Å (Cu Kα). Input: a cell relaxed with PBE.

Atomic structure:
a = 9.2027 Å, b = 9.2027 Å, c = 9.2554 Å
α = 119.76°, β = 119.76°, γ = 59.71°
Atoms (fractional coordinates):
1 Na 0.0647 0.9353 0.5000
2 Na 0.1570 0.6938 0.7590
3 Na 0.2942 0.4335 0.0090
4 Na 0.4335 0.2942 0.5090
5 Na 0.6938 0.1570 0.2590
6 Na 0.9353 0.0647 0.0000
7 Hf 0.3386 0.8579 0.2180
8 Hf 0.8579 0.3386 0.7180
9 In 0.0363 0.5506 0.3278
10 In 0.5506 0.0363 0.8278
11 Si 0.1528 0.2446 0.5315
12 Si 0.2446 0.1528 0.0315
13 Si 0.7438 0.9501 0.5368
14 Si 0.9501 0.7438 0.0368
15 S 0.4486 0.6446 0.5233
16 S 0.6446 0.4486 0.0233
17 O 0.0618 0.1870 0.8591
18 O 0.1332 0.4208 0.5125
19 O 0.1340 0.7454 0.0415
20 O 0.1870 0.0618 0.3591
21 O 0.2201 0.3231 0.2082
22 O 0.2565 0.9725 0.0426
23 O 0.2962 0.6212 0.5143
24 O 0.3231 0.2201 0.7082
25 O 0.4164 0.6692 0.3608
26 O 0.4208 0.1332 0.0125
27 O 0.4738 0.8016 0.6800
28 O 0.4795 0.6064 0.0413
29 O 0.5628 0.9141 0.3724
30 O 0.6064 0.4795 0.5413
31 O 0.6212 0.2962 0.0143
32 O 0.6692 0.4164 0.8608
33 O 0.7308 0.9882 0.7221
34 O 0.7454 0.1340 0.5415
35 O 0.7909 0.9338 0.0209
36 O 0.8016 0.4738 0.1800
37 O 0.9141 0.5628 0.8724
38 O 0.9338 0.7909 0.5209
39 O 0.9725 0.2565 0.5426
40 O 0.9882 0.7308 0.2221

Top 8 peaks for 2θ = 5–70°, sorted by position:
13.6 deg, I = 36.9
19.2 deg, I = 95.6
19.3 deg, I = 99.6
27.4 deg, I = 31.0
30.6 deg, I = 100.0
33.7 deg, I = 38.5
33.8 deg, I = 49.1
46.2 deg, I = 21.0

---

[6]
# Eu3Cr
Simulated powder diffraction line list, λ = 1.5418 Å (Cu Kα). Input: a cell relaxed with PBE.

Atomic structure:
a = 7.4915 Å, b = 7.4915 Å, c = 5.8862 Å
α = 90.00°, β = 90.00°, γ = 120.00°
Atoms (fractional coordinates):
1 Eu 0.1725 0.3450 0.2500
2 Eu 0.1725 0.8275 0.2500
3 Eu 0.3450 0.1725 0.7500
4 Eu 0.6550 0.8275 0.2500
5 Eu 0.8275 0.1725 0.7500
6 Eu 0.8275 0.6550 0.7500
7 Cr 0.3333 0.6667 0.7500
8 Cr 0.6667 0.3333 0.2500

Top 8 peaks for 2θ = 5–70°, sorted by position:
27.5 deg, I = 23.6
30.4 deg, I = 24.7
31.5 deg, I = 100.0
41.4 deg, I = 15.7
48.6 deg, I = 19.2
54.7 deg, I = 20.6
58.4 deg, I = 22.0
59.1 deg, I = 15.8

---

[7]
# NaAlSiO4
Simulated powder diffraction line list, λ = 1.5418 Å (Cu Kα). Input: a cell relaxed with PBE.

Atomic structure:
a = 9.7382 Å, b = 9.7382 Å, c = 9.7326 Å
α = 90.00°, β = 90.00°, γ = 120.00°
Atoms (fractional coordinates):
1 Na 0.0000 0.0000 0.0000
2 Na 0.0000 0.0000 0.5000
3 Na 0.0208 0.4370 0.4745
4 Na 0.4161 0.9792 0.4745
5 Na 0.4370 0.4161 0.9745
6 Na 0.5630 0.5839 0.4745
7 Na 0.5839 0.0208 0.9745
8 Na 0.9792 0.5630 0.9745
9 Al 0.0849 0.3255 0.1692
10 Al 0.2407 0.9151 0.1692
11 Al 0.3255 0.2407 0.6692
12 Al 0.3333 0.6667 0.6568
13 Al 0.6667 0.3333 0.1568
14 Al 0.6745 0.7593 0.1692
15 Al 0.7593 0.0849 0.6692
16 Al 0.9151 0.6745 0.6692
17 Si 0.1196 0.3110 0.7405
18 Si 0.1913 0.8804 0.7405
19 Si 0.3110 0.1913 0.2405
20 Si 0.3333 0.6667 0.3098
21 Si 0.6667 0.3333 0.8098
22 Si 0.6890 0.8087 0.7405
23 Si 0.8087 0.1196 0.2405
24 Si 0.8804 0.6890 0.2405
25 O 0.0242 0.2568 0.8991
26 O 0.0322 0.8092 0.1419
27 O 0.0834 0.3946 0.9958
28 O 0.1620 0.4927 0.7076
29 O 0.1753 0.5032 0.2612
30 O 0.1908 0.2230 0.1419
31 O 0.2230 0.0322 0.6419
32 O 0.2326 0.9758 0.8991
33 O 0.2568 0.2326 0.3991
34 O 0.3112 0.9166 0.9958
35 O 0.3279 0.8247 0.2612
36 O 0.3307 0.8380 0.7076
37 O 0.3333 0.6667 0.4771
38 O 0.3946 0.3112 0.4958
39 O 0.4927 0.3307 0.2076
40 O 0.4968 0.6721 0.2612
41 O 0.5032 0.3279 0.7612
42 O 0.5073 0.6693 0.7076
43 O 0.6054 0.6888 0.9958
44 O 0.6667 0.3333 0.9771
45 O 0.6693 0.1620 0.2076
46 O 0.6721 0.1753 0.7612
47 O 0.6888 0.0834 0.4958
48 O 0.7432 0.7674 0.8991
49 O 0.7674 0.0242 0.3991
50 O 0.7770 0.9678 0.1419
51 O 0.8092 0.7770 0.6419
52 O 0.8247 0.4968 0.7612
53 O 0.8380 0.5073 0.2076
54 O 0.9166 0.6054 0.4958
55 O 0.9678 0.1908 0.6419
56 O 0.9758 0.7432 0.3991

Top 8 peaks for 2θ = 5–70°, sorted by position:
18.2 deg, I = 19.1
21.1 deg, I = 14.1
23.0 deg, I = 37.9
28.0 deg, I = 100.0
29.5 deg, I = 24.7
36.9 deg, I = 29.0
39.6 deg, I = 16.3
47.0 deg, I = 16.4

---

[8]
# CaIrN2
Simulated powder diffraction line list, λ = 1.5418 Å (Cu Kα). Input: a cell relaxed with PBE.

Atomic structure:
a = 5.3590 Å, b = 5.3590 Å, c = 5.3590 Å
α = 35.84°, β = 35.84°, γ = 35.84°
Atoms (fractional coordinates):
1 Ca 0.0000 0.0000 0.0000
2 Ir 0.5000 0.5000 0.5000
3 N 0.2309 0.2309 0.2309
4 N 0.7691 0.7691 0.7691

Top 8 peaks for 2θ = 5–70°, sorted by position:
17.7 deg, I = 91.3
31.9 deg, I = 55.6
33.6 deg, I = 100.0
35.9 deg, I = 29.7
39.6 deg, I = 98.0
55.8 deg, I = 35.7
58.8 deg, I = 28.0
68.1 deg, I = 28.6